Record 1
The following is a computed powder diffraction line list of TaV2Se4S2. It was derived from a cell relaxed with PBE, using CuKα.
Kinematic intensities with the Lorentz-polarization factor, no thermal factor.

Peak list (6 most intense, 10° ≤ 2θ ≤ 90°, most intense first)
- 2θ 12.64, I = 100, (0 0 3)
- 2θ 37.74, I = 55, (0 1 5)
- 2θ 30.90, I = 38, (1 0 0)
- 2θ 46.70, I = 37, (0 1 8)
- 2θ 54.95, I = 26, (1 1 0)
- 2θ 33.50, I = 25, (0 1 3)

Structural model:
Lattice parameters (Å, degrees): 3.3420 3.3420 21.0121 90.00 90.00 120.00
Space group P3m1 (No. 156)
Symmetry-distinct sites (fractional):
Ta1 0.0000 0.0000 0.0000
V1 0.0000 0.0000 0.6528
V2 0.6667 0.3333 0.3241
Se1 0.0000 0.0000 0.2479
Se2 0.0000 0.0000 0.4003
Se3 0.6667 0.3333 0.5767
Se4 0.6667 0.3333 0.7291
S1 0.6667 0.3333 0.0744
S2 0.6667 0.3333 0.9256

***

Record 2
The following is a computed powder diffraction line list of CePu6Sn3. It was derived from a cell relaxed with PBE, using CuKα.
Kinematic intensities with the Lorentz-polarization factor, no thermal factor.

Peak list (6 most intense, 10° ≤ 2θ ≤ 90°, most intense first)
- 2θ 34.64, I = 100, (3 1 2)
- 2θ 31.97, I = 84, (1 3 1)
- 2θ 46.22, I = 43, (0 0 6)
- 2θ 35.00, I = 36, (0 2 4)
- 2θ 60.42, I = 31, (2 5 3)
- 2θ 44.83, I = 24, (1 2 5)

Structural model:
Lattice parameters (Å, degrees): 11.9986 11.9986 11.7909 90.00 90.00 120.00
Space group R-3c (No. 167, hexagonal axes)
Symmetry-distinct sites (fractional):
Ce1 0.0000 0.0000 0.0000
Pu1 0.0588 0.2028 0.3428
Sn1 0.0000 0.4277 0.2500

***

Record 3
The following is a computed powder diffraction line list of In4H3Cl4. It was derived from a cell relaxed with PBE, using CuKα.
Kinematic intensities with the Lorentz-polarization factor, no thermal factor.

Peak list (6 most intense, 10° ≤ 2θ ≤ 90°, most intense first)
- 2θ 25.11, I = 100, (1 0 -1)
- 2θ 25.25, I = 97, (1 -1 1)
- 2θ 19.80, I = 84, (0 1 -2)
- 2θ 30.33, I = 76, (0 0 4)
- 2θ 30.92, I = 59, (0 2 0)
- 2θ 34.32, I = 50, (1 0 3)

Structural model:
Lattice parameters (Å, degrees): 3.849 6.146 11.928 98.30 90.18 107.78
Space group P1 (No. 1)
Symmetry-distinct sites (fractional):
In1 0.000 0.000 0.000
In2 0.213 0.431 0.230
In3 0.462 0.936 0.491
In4 0.692 0.388 0.723
H1 0.519 0.039 0.019
H2 0.696 0.396 0.209
H3 0.970 0.952 0.507
Cl1 0.017 0.032 0.779
Cl2 0.227 0.458 0.454
Cl3 0.436 0.890 0.262
Cl4 0.781 0.549 0.962

***

Record 4
The following is a computed powder diffraction line list of MgTi11O20. It was derived from a cell relaxed with PBE, using CuKα.
Kinematic intensities with the Lorentz-polarization factor, no thermal factor.

Peak list (6 most intense, 10° ≤ 2θ ≤ 90°, most intense first)
- 2θ 25.09, I = 100, (2 0 0)
- 2θ 32.28, I = 69, (0 6 1)
- 2θ 17.97, I = 37, (0 0 1)
- 2θ 47.83, I = 35, (4 0 -1)
- 2θ 40.73, I = 21, (0 4 2)
- 2θ 58.88, I = 21, (4 6 0)

Structural model:
Lattice parameters (Å, degrees): 7.607 20.120 5.288 90.00 111.04 90.00
Space group Cm (No. 8)
Symmetry-distinct sites (fractional):
Mg1 0.000 0.000 0.000
Ti1 0.302 0.249 0.220
Ti2 0.331 0.095 0.342
Ti3 0.334 0.407 0.341
Ti4 0.466 0.154 0.874
Ti5 0.467 0.344 0.878
Ti6 0.497 0.000 0.008
O1 0.017 0.249 0.079
O2 0.056 0.092 0.233
O3 0.057 0.408 0.239
O4 0.242 0.161 0.974
O5 0.242 0.339 0.985
O6 0.279 0.500 0.157
O7 0.295 0.000 0.157
O8 0.374 0.315 0.512
O9 0.377 0.186 0.512
O10 0.423 0.431 0.700
O11 0.424 0.064 0.712

***

Record 5
The following is a computed powder diffraction line list of SmZrBi. It was derived from a cell relaxed with PBE, using CuKα.
Kinematic intensities with the Lorentz-polarization factor, no thermal factor.

Peak list (6 most intense, 10° ≤ 2θ ≤ 90°, most intense first)
- 2θ 35.59, I = 100, (1 1 2)
- 2θ 40.78, I = 59, (2 0 0)
- 2θ 28.53, I = 52, (1 1 0)
- 2θ 30.43, I = 50, (1 1 1)
- 2θ 37.62, I = 46, (1 0 3)
- 2θ 56.68, I = 29, (2 1 3)

Structural model:
Lattice parameters (Å, degrees): 4.425 4.425 8.523 90.00 90.00 90.00
Space group P4/nmm (No. 129, origin choice 2)
Symmetry-distinct sites (fractional):
Sm1 0.250 0.250 0.149
Zr1 0.250 0.750 0.500
Bi1 0.250 0.250 0.761

***

Record 6
The following is a computed powder diffraction line list of Ac3CdGe4. It was derived from a cell relaxed with PBE, using CuKα.
Kinematic intensities with the Lorentz-polarization factor, no thermal factor.

Peak list (6 most intense, 10° ≤ 2θ ≤ 90°, most intense first)
- 2θ 25.92, I = 100, (1 1 2)
- 2θ 21.56, I = 35, (0 1 3)
- 2θ 33.23, I = 33, (1 0 5)
- 2θ 32.20, I = 26, (1 1 4)
- 2θ 37.91, I = 26, (2 0 0)
- 2θ 43.99, I = 24, (0 2 6)

Structural model:
Lattice parameters (Å, degrees): 4.746 6.283 16.380 90.00 90.00 90.00
Space group Immm (No. 71)
Symmetry-distinct sites (fractional):
Ac1 0.000 0.000 0.000
Ac2 0.000 0.500 0.187
Cd1 0.000 0.000 0.500
Ge1 0.000 0.303 0.374